No. 1
Diffraction record for RbNp2SO4. The X-ray diffraction stick pattern is calculated, not measured: it uses a cell relaxed with PBE and CuKα.
Lines closer than 0.1° are merged.

Cell lengths 3.8018, 3.8018, 9.9001 Å; angles 90.00, 90.00, 90.00 degrees
Space group P4/mmm (No. 123)
Unique sites:
Rb1 0.0000 0.0000 0.0000 x1
Np1 0.5000 0.5000 0.3116 x2
S1 0.0000 0.0000 0.5000 x1
O1 0.0000 0.5000 0.2201 x4

Largest 8 diffraction maxima, low angle first, 10° ≤ 2θ ≤ 90°:
4.950 Å, I = 31
3.802 Å, I = 50
3.549 Å, I = 38
3.015 Å, I = 100
2.688 Å, I = 48
2.492 Å, I = 40
2.084 Å, I = 46
1.608 Å, I = 32

=====

No. 2
Diffraction record for Rb2NpSbO6. The X-ray diffraction stick pattern is calculated, not measured: it uses a cell relaxed with PBE and CuKα.
Lines closer than 0.1° are merged.

Cell lengths 8.4559, 8.4559, 8.4559 Å; angles 90.00, 90.00, 90.00 degrees
Space group Fm-3m (No. 225)
Unique sites:
Rb1 0.2500 0.2500 0.2500 x8
Np1 0.0000 0.0000 0.0000 x4
Sb1 0.0000 0.0000 0.5000 x4
O1 0.0000 0.0000 0.2534 x24

Largest 8 diffraction maxima, low angle first, 10° ≤ 2θ ≤ 90°:
4.228 Å, I = 22
2.990 Å, I = 100
2.114 Å, I = 30
1.891 Å, I = 10
1.726 Å, I = 41
1.495 Å, I = 19
1.337 Å, I = 18
1.130 Å, I = 22

=====

No. 3
Diffraction record for RbNpScO6. The X-ray diffraction stick pattern is calculated, not measured: it uses a cell relaxed with PBE and CuKα.
Lines closer than 0.1° are merged.

Cell lengths 7.5336, 8.0186, 10.7043 Å; angles 90.00, 90.00, 90.00 degrees
Space group Imma (No. 74)
Unique sites:
Rb1 0.0000 0.2500 0.1090 x4
Np1 0.0000 0.0000 0.5000 x4
Sc1 0.2500 0.2500 0.7500 x4
O1 0.0000 0.2500 0.4327 x4
O2 0.0000 0.2500 0.8279 x4
O3 0.1841 0.0567 0.6216 x16

Largest 8 diffraction maxima, low angle first, 10° ≤ 2θ ≤ 90°:
6.161 Å, I = 81
5.352 Å, I = 34
3.767 Å, I = 24
3.360 Å, I = 100
3.225 Å, I = 36
3.209 Å, I = 32
3.080 Å, I = 37
1.916 Å, I = 34

=====

No. 4
Diffraction record for RbSm2NpO8. The X-ray diffraction stick pattern is calculated, not measured: it uses a cell relaxed with PBE and CuKα.
Lines closer than 0.1° are merged.

Cell lengths 4.0613, 8.2370, 5.4139 Å; angles 90.00, 96.14, 90.00 degrees
Space group P2/m (No. 10)
Unique sites:
Rb1 0.0000 0.0000 0.0000 x1
Sm1 0.5000 0.2776 0.5000 x2
Np1 0.0000 0.5000 0.0000 x1
O1 0.0349 0.3084 0.7613 x4
O2 0.4181 0.0000 0.6184 x2
O3 0.4549 0.5000 0.2279 x2

Largest 8 diffraction maxima, low angle first, 10° ≤ 2θ ≤ 90°:
8.237 Å, I = 60
3.410 Å, I = 65
3.271 Å, I = 100
3.076 Å, I = 56
2.883 Å, I = 57
2.691 Å, I = 24
2.047 Å, I = 39
1.897 Å, I = 28

=====

No. 5
Diffraction record for RbNpSn2O8. The X-ray diffraction stick pattern is calculated, not measured: it uses a cell relaxed with PBE and CuKα.
Lines closer than 0.1° are merged.

Cell lengths 5.2003, 6.7653, 5.2064 Å; angles 90.00, 92.60, 90.00 degrees
Space group P2/m (No. 10)
Unique sites:
Rb1 0.0000 0.0000 0.0000 x1
Np1 0.0000 0.5000 0.0000 x1
Sn1 0.5000 0.2544 0.5000 x2
O1 0.2037 0.3085 0.2015 x4
O2 0.3136 0.5000 0.6847 x2
O3 0.3358 0.0000 0.6603 x2

Largest 8 diffraction maxima, low angle first, 10° ≤ 2θ ≤ 90°:
6.765 Å, I = 23
3.762 Å, I = 68
3.595 Å, I = 57
2.835 Å, I = 100
2.599 Å, I = 33
1.940 Å, I = 47
1.893 Å, I = 39
1.542 Å, I = 35

=====

No. 6
Diffraction record for RbSr2NpO6. The X-ray diffraction stick pattern is calculated, not measured: it uses a cell relaxed with PBE and CuKα.
Lines closer than 0.1° are merged.

Cell lengths 6.0826, 6.5029, 11.0395 Å; angles 90.00, 123.33, 90.00 degrees
Space group P2_1/c (No. 14)
Unique sites:
Rb1 0.0000 0.0000 0.0000 x2
Sr1 0.2158 0.0031 0.7167 x4
Np1 0.5000 0.0000 0.5000 x2
O1 0.2091 0.1479 0.4981 x4
O2 0.2106 0.6906 0.8480 x4
O3 0.4753 0.1788 0.3402 x4

Largest 8 diffraction maxima, low angle first, 10° ≤ 2θ ≤ 90°:
5.315 Å, I = 36
4.442 Å, I = 12
3.251 Å, I = 23
3.199 Å, I = 100
3.041 Å, I = 21
2.221 Å, I = 22
1.867 Å, I = 25
1.785 Å, I = 21